Li7VGeO8: simulated XRD peak list (Cu Kα), based on DFT lattice parameters and positions (PBE+U).
Neutral-atom scattering factors, no anomalous dispersion.

Cell and atoms:
```
Li7VGeO8
1.0
5.410 0.000 0.000
0.000 6.409 0.000
-0.185 0.000 10.845
Li V Ge O
14 2 2 16
direct
0.000 0.000 0.000 Li
0.005 0.230 0.230 Li
0.005 0.770 0.230 Li
0.157 0.000 0.492 Li
0.241 0.201 0.753 Li
0.241 0.799 0.753 Li
0.480 0.500 0.632 Li
0.522 0.250 0.392 Li
0.522 0.750 0.392 Li
0.632 0.500 0.152 Li
0.639 0.249 0.916 Li
0.639 0.751 0.916 Li
0.894 0.309 0.730 Li
0.894 0.691 0.730 Li
0.006 0.500 0.482 V
0.147 0.500 0.976 V
0.514 0.000 0.153 Ge
0.663 0.000 0.643 Ge
0.030 0.500 0.121 O
0.036 0.279 0.893 O
0.036 0.721 0.893 O
0.106 0.500 0.643 O
0.122 0.282 0.411 O
0.122 0.718 0.411 O
0.184 0.000 0.153 O
0.470 0.500 0.977 O
0.530 0.000 0.497 O
0.570 0.231 0.726 O
0.570 0.769 0.726 O
0.631 0.000 0.000 O
0.634 0.227 0.229 O
0.634 0.773 0.229 O
0.683 0.500 0.481 O
0.998 0.000 0.663 O
```

Most intense lines, 10 to 90 degrees two-theta, in order of rising 2θ:
2θ/deg	intensity	h k l
16.35	16	0 0 2
21.48	100	1 1 0
23.02	15	1 0 -2
23.43	14	1 0 2
27.84	13	0 2 0
32.45	27	0 2 2
33.10	40	2 0 0
58.63	20	0 2 6